1.
For Ce2As4Ir3Pd, a cell relaxed with GGA-PBE gives the computed X-ray diffraction stick pattern in this record (Cu Kα X-rays).
No peak broadening, texture or thermal motion is included.

Top 10 peaks for 2θ from 15° to 90°, sorted by position:
2θ (°)	Rel. int.
27.35	12
30.25	15
34.28	100
41.19	50
47.38	22
51.17	12
54.65	25
59.67	17
67.70	11
70.65	19

Structure:
```
Ce2As4Ir3Pd
1.0
4.3829 0.0000 0.0000
0.0000 4.3829 0.0000
0.0000 0.0000 9.7724
Ce As Ir Pd
2 4 3 1
Cartesian
0.0000 2.1914 2.4103
2.1914 0.0000 7.3621
0.0000 0.0000 0.0000
0.0000 2.1914 6.2080
2.1914 0.0000 3.5645
2.1914 2.1914 0.0000
0.0000 2.1914 8.6363
2.1914 0.0000 1.1361
2.1914 2.1914 4.8862
0.0000 0.0000 4.8862
```

***

2.
For La3Ce5As8, a cell relaxed with GGA-PBE gives the computed X-ray diffraction stick pattern in this record (Cu Kα X-rays).
No peak broadening, texture or thermal motion is included.

Top 10 peaks for 2θ from 15° to 90°, sorted by position:
2θ (°)	Rel. int.
25.49	15
29.51	100
42.23	75
49.97	8
52.36	26
61.25	12
67.44	3
69.44	34
77.19	19
77.25	6

Structure:
```
La3Ce5As8
1.0
4.2781 2.4700 6.9961
-4.2781 2.4700 6.9961
0.0000 -4.9399 6.9961
La Ce As
3 5 8
Cartesian
-2.1390 -1.2350 6.9961
-2.1390 1.2350 13.9921
0.0000 2.4700 6.9961
0.0000 0.0000 0.0000
-4.2781 0.0000 10.4941
-2.1390 1.2350 3.4980
2.1390 1.2350 3.4980
0.0000 0.0000 10.4941
-2.1688 -1.2521 12.1947
0.0000 0.0000 5.1683
0.0000 -2.5043 8.7935
-2.1688 1.2521 8.7935
2.1688 -1.2521 12.1947
0.0000 2.5043 12.1947
0.0000 0.0000 15.8199
2.1688 1.2521 8.7935
```

***

3.
For LaCe2UAs4, a cell relaxed with GGA-PBE gives the computed X-ray diffraction stick pattern in this record (Cu Kα X-rays).
No peak broadening, texture or thermal motion is included.

Top 10 peaks for 2θ from 15° to 90°, sorted by position:
2θ (°)	Rel. int.
16.58	5
25.82	23
29.90	100
42.79	75
50.65	12
53.07	27
62.11	12
68.41	5
70.45	34
78.37	26

Structure:
```
LaCe2UAs4
1.0
5.9779 0.0000 0.0000
0.0000 5.9779 0.0000
0.0000 0.0000 11.9538
La Ce U As
2 4 2 8
Cartesian
0.0000 0.0000 0.0000
2.9889 2.9889 5.9769
0.0000 0.0000 5.9769
0.0000 2.9889 2.9885
2.9889 0.0000 8.9654
2.9889 2.9889 0.0000
0.0000 2.9889 8.9654
2.9889 0.0000 2.9885
0.0000 0.0000 3.0351
0.0000 0.0000 8.9188
0.0000 2.9889 6.0455
0.0000 2.9889 11.8852
2.9889 0.0000 0.0686
2.9889 0.0000 5.9083
2.9889 2.9889 2.9419
2.9889 2.9889 9.0120
```

***

4.
For LiCe3As4, a cell relaxed with GGA-PBE gives the computed X-ray diffraction stick pattern in this record (Cu Kα X-rays).
No peak broadening, texture or thermal motion is included.

Top 10 peaks for 2θ from 15° to 90°, sorted by position:
2θ (°)	Rel. int.
15.03	18
21.31	16
30.32	100
34.00	10
37.36	8
43.41	74
53.87	26
63.07	12
71.57	33
79.67	25

Structure:
```
LiCe3As4
1.0
5.8957 0.0000 0.0000
0.0000 5.8957 0.0000
0.0000 0.0000 5.8957
Li Ce As
1 3 4
Cartesian
0.0000 0.0000 0.0000
0.0000 2.9479 2.9479
2.9479 0.0000 2.9479
2.9479 2.9479 0.0000
0.0000 0.0000 2.9479
0.0000 2.9479 0.0000
2.9479 0.0000 0.0000
2.9479 2.9479 2.9479
```